Entry 1:
Theoretical powder diffractogram
Compound: Dy3RuC3
Radiation: Cu Ka
Structure: a DFT-relaxed cell (PBE, Alexandria)

Top 6 peaks for 10° ≤ 2θ ≤ 90°, low angle first:
2theta, d [Å], I/Imax
32.10, 2.789, 100
32.87, 2.725, 19
34.41, 2.606, 18
35.27, 2.545, 28
61.31, 1.512, 14
66.34, 1.409, 12

Structural model:
Cell: 8.676 10.425 5.089 Å, 90.00 90.00 90.00°
Space group Cmcm (No. 63)
Asymmetric unit:
Dy: 0.000 0.108 0.250 x4
Dy: 0.216 0.380 0.250 x8
Ru: 0.000 0.306 0.750 x4
C: 0.000 0.120 0.750 x4
C: 0.207 0.375 0.750 x8

Entry 2:
Theoretical powder diffractogram
Compound: DySnRu2C
Radiation: Cu Ka
Structure: a DFT-relaxed cell (PBE, Alexandria)

Top 6 peaks for 10° ≤ 2θ ≤ 90°, low angle first:
2theta, d [Å], I/Imax
32.21, 2.779, 66
33.60, 2.667, 100
34.34, 2.611, 77
38.63, 2.331, 77
43.06, 2.101, 38
61.69, 1.504, 39

Structural model:
Cell: 3.936 11.777 7.623 Å, 90.00 90.00 90.00°
Space group Cmcm (No. 63)
Asymmetric unit:
Dy: 0.000 0.036 0.250 x4
Sn: 0.000 0.240 0.750 x4
Ru: 0.000 0.348 0.056 x8
C: 0.000 0.500 0.000 x4

Entry 3:
Theoretical powder diffractogram
Compound: Dy4CS
Radiation: Cu Ka
Structure: a DFT-relaxed cell (PBE, Alexandria)

Top 6 peaks for 10° ≤ 2θ ≤ 90°, low angle first:
2theta, d [Å], I/Imax
28.84, 3.096, 31
29.48, 3.030, 100
33.89, 2.645, 60
34.16, 2.625, 28
49.23, 1.851, 32
58.34, 1.582, 18

Structural model:
Cell: 6.405 3.705 6.531 Å, 90.00 108.54 90.00°
Space group P2/m (No. 10)
Asymmetric unit:
Dy: 0.233 0.000 0.216 x2
Dy: 0.242 0.500 0.772 x2
C: 0.000 0.500 0.000 x1
S: 0.000 0.000 0.500 x1

Entry 4:
Theoretical powder diffractogram
Compound: Dy4SiSbC
Radiation: Cu Ka
Structure: a DFT-relaxed cell (PBE, Alexandria)

Top 6 peaks for 10° ≤ 2θ ≤ 90°, low angle first:
2theta, d [Å], I/Imax
29.06, 3.073, 100
35.02, 2.562, 34
35.53, 2.526, 99
37.95, 2.371, 67
52.59, 1.740, 43
66.98, 1.397, 48

Structural model:
Cell: 6.700 15.372 6.711 Å, 90.00 90.00 90.00°
Space group Cmcm (No. 63)
Asymmetric unit:
Dy: 0.000 0.082 0.250 x4
Dy: 0.000 0.408 0.250 x4
Dy: 0.250 0.250 0.000 x8
Si: 0.000 0.115 0.750 x4
Sb: 0.000 0.393 0.750 x4
C: 0.000 0.246 0.250 x4

Entry 5:
Theoretical powder diffractogram
Compound: Dy3TmSb2C
Radiation: Cu Ka
Structure: a DFT-relaxed cell (PBE, Alexandria)

Top 6 peaks for 10° ≤ 2θ ≤ 90°, low angle first:
2theta, d [Å], I/Imax
28.89, 3.090, 72
34.14, 2.626, 31
35.11, 2.556, 100
37.62, 2.391, 29
38.12, 2.361, 28
54.64, 1.680, 20

Structural model:
Cell: 4.721 4.782 15.753 Å, 90.00 90.00 90.00°
Space group Immm (No. 71)
Asymmetric unit:
Dy: 0.000 0.000 0.000 x2
Dy: 0.000 0.500 0.158 x4
Tm: 0.000 0.000 0.500 x2
Sb: 0.000 0.500 0.358 x4
C: 0.000 0.500 0.000 x2

Entry 6:
Theoretical powder diffractogram
Compound: Dy3ScSi2C
Radiation: Cu Ka
Structure: a DFT-relaxed cell (PBE, Alexandria)

Top 6 peaks for 10° ≤ 2θ ≤ 90°, low angle first:
2theta, d [Å], I/Imax
20.92, 4.245, 57
26.15, 3.407, 77
30.35, 2.945, 100
35.70, 2.515, 38
36.84, 2.440, 74
38.89, 2.316, 34

Structural model:
Cell: 4.424 4.631 15.092 Å, 90.00 90.00 90.00°
Space group Immm (No. 71)
Asymmetric unit:
Dy: 0.000 0.000 0.000 x2
Dy: 0.000 0.500 0.167 x4
Sc: 0.000 0.000 0.500 x2
Si: 0.000 0.500 0.365 x4
C: 0.000 0.500 0.000 x2